No. 1
This entry pairs a crystal structure of DyTa7O19 with its calculated PXRD pattern. Radiation: Cu Kα (weighted mean of Kα1 and Kα2). Structure: DFT lattice parameters and positions (PBE).
Lines closer than 0.1° are merged.

a b c (Å): 6.2695 6.2695 20.0763
angles (deg): 90.00 90.00 120.00
Space group P-6c2 (No. 188)
One atom of each set of equivalent atoms:
Dy: 0.0000 0.0000 0.0000
Ta: 0.0261 0.3336 0.1555
Ta: 0.3333 0.6667 0.0000
O: 0.0000 0.0000 0.1313
O: 0.0432 0.2920 0.2500
O: 0.0967 0.3773 0.0557
O: 0.3333 0.6667 0.1658
O: 0.4214 0.0879 0.6530

Top 8 peaks for 10° ≤ 2θ ≤ 80°, by intensity:
two_theta, I/Imax, index
28.83, 100, 1 1 1
26.64, 65, 0 0 6
33.71, 52, 1 1 4
36.36, 51, 1 1 5
29.86, 43, 1 1 2
50.42, 41, 3 0 0
57.93, 40, 3 0 6
16.33, 31, 1 0 0


No. 2
This entry pairs a crystal structure of DyTaO4 with its calculated PXRD pattern. Radiation: Cu Kα (weighted mean of Kα1 and Kα2). Structure: DFT lattice parameters and positions (PBE).
Lines closer than 0.1° are merged.

a b c (Å): 7.0687 11.0667 5.1121
angles (deg): 90.00 130.97 90.00
Space group C2/c (No. 15)
One atom of each set of equivalent atoms:
Dy: 0.0000 0.1304 0.2500
Ta: 0.0000 0.3963 0.7500
O: 0.1589 0.2900 0.6608
O: 0.2455 0.4682 0.2083

Top 8 peaks for 10° ≤ 2θ ≤ 80°, by intensity:
two_theta, I/Imax, index
28.19, 100, 0 2 1
30.02, 84, 2 2 -1
47.33, 25, 2 4 0
48.60, 25, 2 4 -2
33.58, 24, 2 0 0
32.36, 23, 0 4 0
35.25, 19, 2 0 -2
55.73, 16, 2 2 1


No. 3
This entry pairs a crystal structure of DyTaO4 with its calculated PXRD pattern. Radiation: Cu Kα (weighted mean of Kα1 and Kα2). Structure: DFT lattice parameters and positions (PBE).
Lines closer than 0.1° are merged.

a b c (Å): 5.1544 5.5188 5.3448
angles (deg): 90.00 96.58 90.00
Space group P2/c (No. 13)
One atom of each set of equivalent atoms:
Dy: 0.0000 0.2329 0.2500
Ta: 0.5000 0.3070 0.7500
O: 0.2496 0.0857 0.6007
O: 0.2687 0.4355 0.9952

Top 8 peaks for 10° ≤ 2θ ≤ 80°, by intensity:
two_theta, I/Imax, index
27.93, 100, 1 1 -1
30.29, 80, 1 1 1
33.76, 25, 0 0 2
47.53, 22, 0 2 2
48.51, 22, 2 2 0
32.45, 20, 0 2 0
35.05, 19, 2 0 0
46.36, 17, 2 0 -2


No. 4
This entry pairs a crystal structure of Dy2Te4O11 with its calculated PXRD pattern. Radiation: Cu Kα (weighted mean of Kα1 and Kα2). Structure: DFT lattice parameters and positions (PBE).
Lines closer than 0.1° are merged.

a b c (Å): 12.4996 5.1768 16.3071
angles (deg): 90.00 105.34 90.00
Space group C2/c (No. 15)
One atom of each set of equivalent atoms:
Dy: 0.1192 0.2500 0.0371
Te: 0.1216 0.2216 0.6984
Te: 0.1285 0.2179 0.3747
O: 0.0000 0.3546 0.7500
O: 0.0243 0.0780 0.5961
O: 0.0693 0.3928 0.4551
O: 0.1490 0.4427 0.1673
O: 0.2079 0.0450 0.9477
O: 0.2474 0.0626 0.6276

Top 8 peaks for 10° ≤ 2θ ≤ 80°, by intensity:
two_theta, I/Imax, index
26.59, 100, 1 1 3
29.68, 99, 3 1 -3
46.23, 22, 4 2 0
33.48, 21, 2 0 -6
34.65, 18, 0 2 0
48.95, 18, 2 2 -6
48.85, 18, 5 1 3
41.02, 15, 2 0 6


What did the fourth record say?
This entry pairs a crystal structure of Dy2Te4O11 with its calculated PXRD pattern. Radiation: Cu Kα (weighted mean of Kα1 and Kα2). Structure: DFT lattice parameters and positions (PBE).
Lines closer than 0.1° are merged.

a b c (Å): 12.4996 5.1768 16.3071
angles (deg): 90.00 105.34 90.00
Space group C2/c (No. 15)
One atom of each set of equivalent atoms:
Dy: 0.1192 0.2500 0.0371
Te: 0.1216 0.2216 0.6984
Te: 0.1285 0.2179 0.3747
O: 0.0000 0.3546 0.7500
O: 0.0243 0.0780 0.5961
O: 0.0693 0.3928 0.4551
O: 0.1490 0.4427 0.1673
O: 0.2079 0.0450 0.9477
O: 0.2474 0.0626 0.6276

Top 8 peaks for 10° ≤ 2θ ≤ 80°, by intensity:
two_theta, I/Imax, index
26.59, 100, 1 1 3
29.68, 99, 3 1 -3
46.23, 22, 4 2 0
33.48, 21, 2 0 -6
34.65, 18, 0 2 0
48.95, 18, 2 2 -6
48.85, 18, 5 1 3
41.02, 15, 2 0 6


Number 4 is which compound? Dy2Te4O11